Entry 1:
This entry pairs a crystal structure of NaMgNiO2 with its theoretical PXRD pattern. Radiation: Cu Kα (weighted mean of Kα1 and Kα2). Structure: the GGA+U geometry in the Materials Project.

Atomic structure:
a = 6.1334 Å, b = 5.1020 Å, c = 5.2259 Å
α = 90.00°, β = 91.93°, γ = 90.00°
Space group C2/m (No. 12)
Unique sites:
Na 0.0000 0.0000 0.0000
Mg 0.0000 0.5000 0.0000
Ni 0.0000 0.5000 0.5000
O 0.2153 0.5000 0.7597

The 6 most intense peaks (2θ from 10° to 80°), most intense first:
- (1 1 0), d 3.921, 22.68 deg, I 1000
- (1 1 -1), d 3.169, 28.16 deg, I 992
- (0 2 0), d 2.551, 35.18 deg, I 633
- (2 0 0), d 3.065, 29.14 deg, I 338
- (2 0 -2), d 2.022, 44.83 deg, I 282
- (2 0 2), d 1.955, 46.44 deg, I 263

Entry 2:
This entry pairs a crystal structure of NaLaMn4O12 with its theoretical PXRD pattern. Radiation: Cu Kα (weighted mean of Kα1 and Kα2). Structure: the GGA+U geometry in the Materials Project.

Atomic structure:
a = 7.7048 Å, b = 7.5657 Å, c = 7.5496 Å
α = 90.00°, β = 90.00°, γ = 90.00°
Space group Amm2 (No. 38)
Unique sites:
Na 0.0000 0.0000 0.0000
La 0.5000 0.0000 0.4816
Mn 0.2390 0.2498 0.2404
O 0.0000 0.2016 0.2389
O 0.2168 0.0000 0.7801
O 0.2579 0.2129 0.4934
O 0.2923 0.0000 0.2181
O 0.5000 0.2202 0.7453

The 6 most intense peaks (2θ from 10° to 80°), most intense first:
- (2 2 0), d 2.698, 33.21 deg, I 1000
- (1 1 1), d 4.391, 20.22 deg, I 930
- (0 2 2), d 2.672, 33.54 deg, I 512
- (2 4 2), d 1.548, 59.75 deg, I 435
- (0 1 1), d 5.344, 16.59 deg, I 366
- (1 3 1), d 2.283, 39.48 deg, I 346